[1]
# Eu3InRu
Calculated powder X-ray diffraction pattern, Cu Kα (λ = 1.5418 Å). Input: DFT lattice parameters and positions (PBE).
Neutral-atom scattering factors, no anomalous dispersion.

Most intense lines, 10 to 90 degrees two-theta, by angle:
28.4°, intensity 94; 32.9°, intensity 100; 47.2°, intensity 72; 56.0°, intensity 42; 78.5°, intensity 32; 87.8°, intensity 25

Crystal structure
Lattice parameters (Å, degrees): 5.4484 5.4484 5.4484 90.00 90.00 90.00
Fractional positions:
Eu1 0.0000 0.0000 0.5000
Eu2 0.0000 0.5000 0.0000
Eu3 0.5000 0.0000 0.0000
In1 0.5000 0.5000 0.5000
Ru1 0.0000 0.0000 0.0000


[2]
# Tb2Ga3CuIr4
Calculated powder X-ray diffraction pattern, Cu Kα (λ = 1.5418 Å). Input: DFT lattice parameters and positions (PBE).
Neutral-atom scattering factors, no anomalous dispersion.

Most intense lines, 10 to 90 degrees two-theta, by angle:
33.4°, intensity 49; 35.1°, intensity 100; 43.8°, intensity 61; 46.4°, intensity 28; 48.4°, intensity 30; 67.3°, intensity 23

Crystal structure
Lattice parameters (Å, degrees): 4.1362 4.1362 10.5506 90.00 90.00 90.00
Fractional positions:
Tb1 0.0000 0.5000 0.2463
Tb2 0.5000 0.0000 0.7537
Ga1 0.0000 0.5000 0.8689
Ga2 0.5000 0.0000 0.1311
Ga3 0.5000 0.5000 0.5000
Cu1 0.0000 0.0000 0.5000
Ir1 0.0000 0.0000 0.0000
Ir2 0.0000 0.5000 0.6382
Ir3 0.5000 0.0000 0.3618
Ir4 0.5000 0.5000 0.0000


[3]
# PrY2Ag2Pb2
Calculated powder X-ray diffraction pattern, Cu Kα (λ = 1.5418 Å). Input: DFT lattice parameters and positions (PBE).
Neutral-atom scattering factors, no anomalous dispersion.

Most intense lines, 10 to 90 degrees two-theta, by angle:
24.7°, intensity 40; 31.5°, intensity 86; 34.1°, intensity 19; 36.1°, intensity 100; 48.7°, intensity 25; 62.1°, intensity 24

Crystal structure
Lattice parameters (Å, degrees): 9.2886 9.2886 9.2886 31.05 31.05 31.05
Fractional positions:
Pr1 0.0000 0.0000 0.0000
Y1 0.1346 0.1346 0.1346
Y2 0.8654 0.8654 0.8654
Ag1 0.4428 0.4428 0.4428
Ag2 0.5572 0.5572 0.5572
Pb1 0.2646 0.2646 0.2646
Pb2 0.7353 0.7353 0.7353


[4]
# KTaC2O8
Calculated powder X-ray diffraction pattern, Cu Kα (λ = 1.5418 Å). Input: DFT lattice parameters and positions (PBE).
Neutral-atom scattering factors, no anomalous dispersion.

Most intense lines, 10 to 90 degrees two-theta, by angle:
11.5°, intensity 100; 20.8°, intensity 92; 23.8°, intensity 95; 31.2°, intensity 93; 36.4°, intensity 34; 43.5°, intensity 35

Crystal structure
Lattice parameters (Å, degrees): 4.9371 4.9371 7.7139 90.00 90.00 120.00
Fractional positions:
K1 0.0000 0.0000 0.0000
Ta1 0.0000 0.0000 0.5000
C1 0.3333 0.6667 0.7080
C2 0.6667 0.3333 0.2920
O1 0.1228 0.3673 0.6501
O2 0.2445 0.8772 0.6501
O3 0.3333 0.6667 0.8842
O4 0.3673 0.2445 0.3499
O5 0.6327 0.7555 0.6501
O6 0.6667 0.3333 0.1158
O7 0.7555 0.1228 0.3499
O8 0.8772 0.6327 0.3499


[5]
# DyTh6Sc12
Calculated powder X-ray diffraction pattern, Cu Kα (λ = 1.5418 Å). Input: DFT lattice parameters and positions (PBE).
Neutral-atom scattering factors, no anomalous dispersion.

Most intense lines, 10 to 90 degrees two-theta, by angle:
21.3°, intensity 100; 22.8°, intensity 52; 33.4°, intensity 94; 34.5°, intensity 74; 36.8°, intensity 91; 38.2°, intensity 62

Crystal structure
Lattice parameters (Å, degrees): 8.7573 8.7573 8.7573 105.85 105.85 105.85
Fractional positions:
Dy1 0.0000 0.0000 0.0000
Th1 0.2884 0.6806 0.6806
Th2 0.3194 0.3194 0.7116
Th3 0.3194 0.7116 0.3194
Th4 0.6806 0.2884 0.6806
Th5 0.6806 0.6806 0.2884
Th6 0.7116 0.3194 0.3194
Sc1 0.1015 0.3355 0.3355
Sc2 0.1088 0.5000 0.8912
Sc3 0.1088 0.8912 0.5000
Sc4 0.3355 0.1015 0.3355
Sc5 0.3355 0.3355 0.1015
Sc6 0.5000 0.1088 0.8912
Sc7 0.5000 0.8912 0.1088
Sc8 0.6645 0.6645 0.8985
Sc9 0.6645 0.8985 0.6645
Sc10 0.8912 0.1088 0.5000
Sc11 0.8912 0.5000 0.1088
Sc12 0.8985 0.6645 0.6645


[6]
# B2MoW
Calculated powder X-ray diffraction pattern, Cu Kα (λ = 1.5418 Å). Input: DFT lattice parameters and positions (PBE).
Neutral-atom scattering factors, no anomalous dispersion.

Most intense lines, 10 to 90 degrees two-theta, by angle:
24.5°, intensity 39; 29.7°, intensity 41; 35.2°, intensity 53; 38.3°, intensity 100; 42.0°, intensity 56; 42.4°, intensity 68

Crystal structure
Lattice parameters (Å, degrees): 3.0753 4.5631 6.0090 90.00 90.00 90.00
Fractional positions:
B1 0.0000 0.1499 0.0000
B2 0.0000 0.8501 0.5000
B3 0.5000 0.3504 0.0654
B4 0.5000 0.6496 0.5654
Mo1 0.0000 0.3625 0.3541
Mo2 0.0000 0.6375 0.8541
W1 0.5000 0.1355 0.7125
W2 0.5000 0.8645 0.2125


[7]
# PrSnPt3
Calculated powder X-ray diffraction pattern, Cu Kα (λ = 1.5418 Å). Input: DFT lattice parameters and positions (PBE).
Neutral-atom scattering factors, no anomalous dispersion.

Most intense lines, 10 to 90 degrees two-theta, by angle:
28.6°, intensity 71; 31.8°, intensity 65; 33.3°, intensity 100; 38.7°, intensity 47; 42.4°, intensity 47; 46.7°, intensity 45

Crystal structure
Lattice parameters (Å, degrees): 5.6344 7.6548 5.3844 90.00 90.00 90.00
Fractional positions:
Pr1 0.0000 0.0000 0.0000
Pr2 0.5000 0.5000 0.0000
Sn1 0.0000 0.5000 0.5000
Sn2 0.5000 0.0000 0.5000
Pt1 0.0000 0.5000 0.0000
Pt2 0.0859 0.1685 0.5000
Pt3 0.4141 0.6685 0.5000
Pt4 0.5000 0.0000 0.0000
Pt5 0.5859 0.3315 0.5000
Pt6 0.9141 0.8315 0.5000


[8]
# Pm3NdSm3
Calculated powder X-ray diffraction pattern, Cu Kα (λ = 1.5418 Å). Input: DFT lattice parameters and positions (PBE).
Neutral-atom scattering factors, no anomalous dispersion.

Most intense lines, 10 to 90 degrees two-theta, by angle:
27.9°, intensity 24; 30.5°, intensity 25; 31.9°, intensity 100; 49.4°, intensity 20; 55.1°, intensity 21; 59.1°, intensity 23

Crystal structure
Lattice parameters (Å, degrees): 9.7678 9.7678 5.8627 90.00 90.00 120.00
Fractional positions:
Pm1 0.0478 0.8097 0.2500
Pm2 0.1903 0.2381 0.2500
Pm3 0.2381 0.0478 0.7500
Pm4 0.7619 0.9522 0.2500
Pm5 0.8097 0.7619 0.7500
Pm6 0.9522 0.1903 0.7500
Nd1 0.3333 0.6667 0.2500
Nd2 0.6667 0.3333 0.7500
Sm1 0.0952 0.6189 0.7500
Sm2 0.3811 0.4763 0.7500
Sm3 0.4763 0.0952 0.2500
Sm4 0.5237 0.9048 0.7500
Sm5 0.6189 0.5237 0.2500
Sm6 0.9048 0.3811 0.2500


[9]
# AcNd2Er2Tm2
Calculated powder X-ray diffraction pattern, Cu Kα (λ = 1.5418 Å). Input: DFT lattice parameters and positions (PBE).
Neutral-atom scattering factors, no anomalous dispersion.

Most intense lines, 10 to 90 degrees two-theta, by angle:
30.1°, intensity 100; 30.3°, intensity 98; 34.9°, intensity 33; 35.1°, intensity 67; 50.4°, intensity 24; 59.9°, intensity 42

Crystal structure
Lattice parameters (Å, degrees): 6.2886 6.2886 8.0997 97.85 97.85 48.01
Fractional positions:
Ac1 0.0000 0.0000 0.0000
Nd1 0.2847 0.2847 0.8470
Nd2 0.7153 0.7153 0.1530
Er1 0.4254 0.4254 0.2958
Er2 0.5746 0.5746 0.7042
Tm1 0.1418 0.1418 0.4334
Tm2 0.8582 0.8582 0.5666


[10]
# Th2TiSe2Cl4
Calculated powder X-ray diffraction pattern, Cu Kα (λ = 1.5418 Å). Input: DFT lattice parameters and positions (PBE).
Neutral-atom scattering factors, no anomalous dispersion.

Most intense lines, 10 to 90 degrees two-theta, by angle:
11.8°, intensity 100; 28.3°, intensity 26; 29.4°, intensity 22; 32.6°, intensity 38; 34.8°, intensity 37; 40.1°, intensity 23

Crystal structure
Lattice parameters (Å, degrees): 3.6428 3.6428 22.4242 90.00 90.00 120.00
Fractional positions:
Th1 0.0000 0.0000 0.0000
Th2 0.3333 0.6667 0.3438
Ti1 0.3333 0.6667 0.6805
Se1 0.0000 0.0000 0.6099
Se2 0.0000 0.0000 0.7511
Cl1 0.0000 0.0000 0.2547
Cl2 0.0000 0.0000 0.4321
Cl3 0.3333 0.6667 0.0891
Cl4 0.3333 0.6667 0.9119


[11]
# LiNdHgRh
Calculated powder X-ray diffraction pattern, Cu Kα (λ = 1.5418 Å). Input: DFT lattice parameters and positions (PBE).
Neutral-atom scattering factors, no anomalous dispersion.

Most intense lines, 10 to 90 degrees two-theta, by angle:
22.5°, intensity 15; 26.0°, intensity 33; 37.1°, intensity 100; 53.5°, intensity 18; 60.4°, intensity 13; 66.9°, intensity 36

Crystal structure
Lattice parameters (Å, degrees): 4.8478 4.8478 4.8478 60.00 60.00 60.00
Fractional positions:
Li1 0.0000 0.0000 0.0000
Nd1 0.7500 0.7500 0.7500
Hg1 0.2500 0.2500 0.2500
Rh1 0.5000 0.5000 0.5000